Diffraction record for Li9Mn2Co5O16. The powder diffraction line list is simulated, not measured: it uses a DFT-relaxed cell (PBE+U, the Materials Project) and a wavelength of 1.5418 Å.
Kinematic intensities with the Lorentz-polarization factor, no thermal factor.

Cell and atoms:
```
data_Li9Mn2Co5O16
_cell_length_a 5.8878
_cell_length_b 2.8903
_cell_length_c 16.7794
_cell_angle_alpha 90.00
_cell_angle_beta 90.40
_cell_angle_gamma 90.00
_symmetry_space_group_name_H-M 'P 1 m 1'
_symmetry_Int_Tables_number 6
_symmetry_space_group_name_Hall 'P -2y'
loop_
_atom_site_label
_atom_site_type_symbol
_atom_site_fract_x
_atom_site_fract_y
_atom_site_fract_z
Li1 Li 0.0000 0.0000 0.0000
Li2 Li 0.0007 0.0000 0.4899
Li3 Li 0.2551 0.5000 0.6161
Li4 Li 0.2616 0.5000 0.1144
Li5 Li 0.5079 0.0000 0.7405
Li6 Li 0.5126 0.0000 0.2313
Li7 Li 0.7494 0.5000 0.1154
Li8 Li 0.7553 0.5000 0.8666
Li9 Li 0.7584 0.5000 0.3613
Mn1 Mn 0.2511 0.5000 0.3639
Mn2 Mn 0.5094 0.0000 0.9961
Co1 Co 0.0024 0.0000 0.7425
Co2 Co 0.2562 0.5000 0.8660
Co3 Co 0.5123 0.0000 0.4897
Co4 Co 0.7554 0.5000 0.6148
Co5 Co 0.9931 0.0000 0.2259
O1 O 0.0111 0.0000 0.1202
O2 O 0.0235 0.0000 0.8641
O3 O 0.0336 0.0000 0.3659
O4 O 0.2384 0.5000 0.2503
O5 O 0.2419 0.5000 0.7415
O6 O 0.2668 0.5000 0.4830
O7 O 0.2798 0.5000 0.9890
O8 O 0.4749 0.0000 0.3657
O9 O 0.4878 0.0000 0.8730
O10 O 0.5060 0.0000 0.1044
O11 O 0.5321 0.0000 0.6127
O12 O 0.7266 0.5000 0.9891
O13 O 0.7471 0.5000 0.4891
O14 O 0.7729 0.5000 0.2421
O15 O 0.7729 0.5000 0.7420
O16 O 0.9776 0.0000 0.6186
```

Most intense lines, 2θ = 10–90°, low angle first:
2θ 18.3, intensity 100, hkl 1 0 -2; 2θ 35.6, intensity 14, hkl 1 0 6; 2θ 36.3, intensity 26, hkl 1 1 2; 2θ 43.1, intensity 27, hkl 0 0 8; 2θ 43.9, intensity 54, hkl 2 1 0; 2θ 63.1, intensity 15, hkl 2 1 -8


Diffraction record for Sr3V2O7. The powder diffraction line list is simulated, not measured: it uses a DFT-relaxed cell (PBE+U, the Materials Project) and a wavelength of 1.5418 Å.
Kinematic intensities with the Lorentz-polarization factor, no thermal factor.

Cell and atoms:
```
data_Sr3V2O7
_cell_length_a 3.9775
_cell_length_b 3.9775
_cell_length_c 19.9173
_cell_angle_alpha 90.00
_cell_angle_beta 90.00
_cell_angle_gamma 90.00
_symmetry_space_group_name_H-M 'I 4/m m m'
_symmetry_Int_Tables_number 139
_symmetry_space_group_name_Hall '-I 4 2'
loop_
_atom_site_label
_atom_site_type_symbol
_atom_site_fract_x
_atom_site_fract_y
_atom_site_fract_z
Sr1 Sr 0.0000 0.0000 0.0000
Sr2 Sr 0.0000 0.0000 0.1805
V1 V 0.0000 0.0000 0.4022
O1 O 0.0000 0.0000 0.3073
O2 O 0.0000 0.0000 0.5000
O3 O 0.0000 0.5000 0.0957
```

Most intense lines, 2θ = 10–90°, low angle first:
2θ 31.8, intensity 100, hkl 1 1 0; 2θ 42.1, intensity 20, hkl 1 1 6; 2θ 45.6, intensity 36, hkl 2 0 0; 2θ 56.7, intensity 29, hkl 2 1 5; 2θ 66.5, intensity 17, hkl 2 2 0; 2θ 75.6, intensity 12, hkl 3 1 0


Diffraction record for Ba2NdMoO6. The powder diffraction line list is simulated, not measured: it uses a DFT-relaxed cell (PBE+U, the Materials Project) and a wavelength of 1.5418 Å.
Kinematic intensities with the Lorentz-polarization factor, no thermal factor.

Cell and atoms:
```
data_Ba2NdMoO6
_cell_length_a 6.0590
_cell_length_b 6.0941
_cell_length_c 6.1073
_cell_angle_alpha 119.43
_cell_angle_beta 119.09
_cell_angle_gamma 90.94
_symmetry_space_group_name_H-M 'P -1'
_symmetry_Int_Tables_number 2
_symmetry_space_group_name_Hall '-P 1'
loop_
_atom_site_label
_atom_site_type_symbol
_atom_site_fract_x
_atom_site_fract_y
_atom_site_fract_z
Ba1 Ba 0.2480 0.2475 0.0038
Nd1 Nd 0.0000 0.5000 0.5000
Mo1 Mo 0.5000 0.0000 0.5000
O1 O 0.2307 0.1965 0.4994
O2 O 0.2720 0.7740 0.9672
O3 O 0.3059 0.7296 0.5126
```

Most intense lines, 2θ = 10–90°, low angle first:
2θ 29.0, intensity 67, hkl -1 1 1; 2θ 29.3, intensity 100, hkl 0 2 -1; 2θ 29.5, intensity 33, hkl 2 0 -1; 2θ 41.2, intensity 21, hkl 0 0 2; 2θ 41.7, intensity 19, hkl 2 -2 0; 2θ 51.4, intensity 21, hkl 2 0 1


Diffraction record for Li3Cr4P6O24. The powder diffraction line list is simulated, not measured: it uses a DFT-relaxed cell (PBE+U, the Materials Project) and a wavelength of 1.5418 Å.
Kinematic intensities with the Lorentz-polarization factor, no thermal factor.

Cell and atoms:
```
data_Li3Cr4P6O24
_cell_length_a 8.4659
_cell_length_b 8.4891
_cell_length_c 8.5493
_cell_angle_alpha 60.66
_cell_angle_beta 60.51
_cell_angle_gamma 61.01
_symmetry_space_group_name_H-M 'P 1'
_symmetry_Int_Tables_number 1
_symmetry_space_group_name_Hall 'P 1'
loop_
_atom_site_label
_atom_site_type_symbol
_atom_site_fract_x
_atom_site_fract_y
_atom_site_fract_z
Li1 Li 0.0000 0.0000 0.0000
Li2 Li 0.2581 0.6276 0.8495
Li3 Li 0.5189 0.4914 0.4874
Cr1 Cr 0.1433 0.1249 0.1506
Cr2 Cr 0.3708 0.3501 0.3580
Cr3 Cr 0.6471 0.6285 0.6461
Cr4 Cr 0.8671 0.8540 0.8548
P1 P 0.0523 0.4477 0.7526
P2 P 0.2593 0.9472 0.5365
P3 P 0.4586 0.7413 0.0390
P4 P 0.5506 0.2360 0.9680
P5 P 0.7550 0.0350 0.4656
P6 P 0.9678 0.5281 0.2534
O1 O 0.9997 0.3620 0.2017
O2 O 0.0370 0.6101 0.7985
O3 O 0.0729 0.2542 0.9158
O4 O 0.1020 0.9279 0.7377
O5 O 0.1360 0.4958 0.3008
O6 O 0.1926 0.9708 0.3874
O7 O 0.2464 0.4226 0.5840
O8 O 0.2646 0.9061 0.0636
O9 O 0.3246 0.1100 0.4854
O10 O 0.3837 0.1720 0.0233
O11 O 0.4174 0.7481 0.5643
O12 O 0.4493 0.5812 0.2353
O13 O 0.4709 0.6815 0.8888
O14 O 0.5263 0.3019 0.1209
O15 O 0.5456 0.4063 0.7789
O16 O 0.5955 0.2315 0.4408
O17 O 0.6287 0.8004 0.9811
O18 O 0.6930 0.8712 0.5156
O19 O 0.7458 0.0776 0.9431
O20 O 0.7744 0.5514 0.4160
O21 O 0.8196 0.0131 0.6162
O22 O 0.8828 0.4860 0.7058
O23 O 0.9161 0.0500 0.2664
O24 O 0.9591 0.7160 0.0796
```

Most intense lines, 2θ = 10–90°, low angle first:
2θ 20.7, intensity 83, hkl 0 1 -1; 2θ 21.0, intensity 100, hkl 1 2 1; 2θ 24.3, intensity 97, hkl 1 0 2; 2θ 24.4, intensity 95, hkl 2 0 1; 2θ 24.5, intensity 95, hkl 1 2 0; 2θ 29.5, intensity 65, hkl 0 2 2


Diffraction record for Ti3MnSn2P6O24. The powder diffraction line list is simulated, not measured: it uses a DFT-relaxed cell (PBE+U, the Materials Project) and a wavelength of 1.5418 Å.
Kinematic intensities with the Lorentz-polarization factor, no thermal factor.

Cell and atoms:
```
data_Ti3MnSn2P6O24
_cell_length_a 8.6199
_cell_length_b 8.6199
_cell_length_c 23.0201
_cell_angle_alpha 90.00
_cell_angle_beta 90.00
_cell_angle_gamma 120.00
_symmetry_space_group_name_H-M 'R 3'
_symmetry_Int_Tables_number 146
_symmetry_space_group_name_Hall 'R 3'
loop_
_atom_site_label
_atom_site_type_symbol
_atom_site_fract_x
_atom_site_fract_y
_atom_site_fract_z
Ti1 Ti 0.0000 0.0000 0.0000
Ti2 Ti 0.0000 0.0000 0.2075
Ti3 Ti 0.0000 0.0000 0.5100
Mn1 Mn 0.0000 0.0000 0.7036
Sn1 Sn 0.0000 0.0000 0.3672
Sn2 Sn 0.0000 0.0000 0.8398
P1 P 0.0056 0.7188 0.1047
P2 P 0.0432 0.3747 0.2731
O1 O 0.0032 0.1837 0.2577
O2 O 0.0263 0.8257 0.0489
O3 O 0.0300 0.1993 0.5513
O4 O 0.0301 0.8318 0.7695
O5 O 0.1501 0.6686 0.8264
O6 O 0.1594 0.4386 0.3267
O7 O 0.1742 0.4716 0.6141
O8 O 0.1760 0.6973 0.1099
```

Most intense lines, 2θ = 10–90°, low angle first:
2θ 20.6, intensity 100, hkl 1 1 0; 2θ 23.7, intensity 76, hkl 2 -1 3; 2θ 25.1, intensity 28, hkl 2 0 2; 2θ 31.2, intensity 100, hkl 2 -1 6; 2θ 36.1, intensity 36, hkl 3 0 0; 2θ 48.4, intensity 34, hkl 4 -2 6


Diffraction record for NaMn2BiO6. The powder diffraction line list is simulated, not measured: it uses a DFT-relaxed cell (PBE+U, the Materials Project) and a wavelength of 1.5418 Å.
Kinematic intensities with the Lorentz-polarization factor, no thermal factor.

Cell and atoms:
```
data_NaMn2BiO6
_cell_length_a 5.4492
_cell_length_b 5.4492
_cell_length_c 13.3708
_cell_angle_alpha 90.00
_cell_angle_beta 90.00
_cell_angle_gamma 120.00
_symmetry_space_group_name_H-M 'R 3'
_symmetry_Int_Tables_number 146
_symmetry_space_group_name_Hall 'R 3'
loop_
_atom_site_label
_atom_site_type_symbol
_atom_site_fract_x
_atom_site_fract_y
_atom_site_fract_z
Na1 Na 0.0000 0.0000 0.0000
Mn1 Mn 0.0000 0.0000 0.2615
Mn2 Mn 0.0000 0.0000 0.7618
Bi1 Bi 0.0000 0.0000 0.4885
O1 O 0.0029 0.5815 0.5175
O2 O 0.0164 0.4335 0.0231
```

Most intense lines, 2θ = 10–90°, low angle first:
2θ 19.9, intensity 80, hkl 0 0 3; 2θ 32.9, intensity 100, hkl 1 0 4; 2θ 38.7, intensity 48, hkl 1 1 3; 2θ 47.1, intensity 29, hkl 0 2 4; 2θ 51.7, intensity 22, hkl 2 0 5; 2θ 58.7, intensity 43, hkl 3 0 0


Diffraction record for NaFe7P6O24. The powder diffraction line list is simulated, not measured: it uses a DFT-relaxed cell (PBE+U, the Materials Project) and a wavelength of 1.5418 Å.
Kinematic intensities with the Lorentz-polarization factor, no thermal factor.

Cell and atoms:
```
data_NaFe7P6O24
_cell_length_a 6.4825
_cell_length_b 8.0961
_cell_length_c 9.4884
_cell_angle_alpha 105.39
_cell_angle_beta 108.24
_cell_angle_gamma 101.44
_symmetry_space_group_name_H-M 'P -1'
_symmetry_Int_Tables_number 2
_symmetry_space_group_name_Hall '-P 1'
loop_
_atom_site_label
_atom_site_type_symbol
_atom_site_fract_x
_atom_site_fract_y
_atom_site_fract_z
Na1 Na 0.0000 0.0000 0.0000
Fe1 Fe 0.1077 0.5424 0.8901
Fe2 Fe 0.2159 0.1884 0.7075
Fe3 Fe 0.4601 0.2818 0.4739
Fe4 Fe 0.5000 0.0000 0.0000
P1 P 0.0988 0.7679 0.6319
P2 P 0.2737 0.8535 0.2354
P3 P 0.4148 0.4108 0.1707
O1 O 0.0472 0.7379 0.2288
O2 O 0.0490 0.6373 0.7150
O3 O 0.1323 0.2355 0.4910
O4 O 0.1986 0.4579 0.0862
O5 O 0.2183 0.9624 0.7627
O6 O 0.2514 0.7251 0.5407
O7 O 0.2669 0.8094 0.0617
O8 O 0.2891 0.0520 0.2962
O9 O 0.3739 0.4650 0.8338
O10 O 0.3866 0.2130 0.0893
O11 O 0.4379 0.4534 0.3482
O12 O 0.4809 0.8138 0.3424
```

Most intense lines, 2θ = 10–90°, low angle first:
2θ 28.1, intensity 23, hkl 2 0 -1; 2θ 29.5, intensity 100, hkl 0 2 1; 2θ 29.8, intensity 68, hkl 0 1 -3; 2θ 30.5, intensity 26, hkl 1 -2 2; 2θ 32.8, intensity 32, hkl 2 1 -2; 2θ 57.6, intensity 23, hkl -4 1 1


Diffraction record for Cr3FeP6O24. The powder diffraction line list is simulated, not measured: it uses a DFT-relaxed cell (PBE+U, the Materials Project) and a wavelength of 1.5418 Å.
Kinematic intensities with the Lorentz-polarization factor, no thermal factor.

Cell and atoms:
```
data_Cr3FeP6O24
_cell_length_a 8.6036
_cell_length_b 8.6036
_cell_length_c 21.8654
_cell_angle_alpha 90.00
_cell_angle_beta 90.00
_cell_angle_gamma 120.00
_symmetry_space_group_name_H-M 'R 3'
_symmetry_Int_Tables_number 146
_symmetry_space_group_name_Hall 'R 3'
loop_
_atom_site_label
_atom_site_type_symbol
_atom_site_fract_x
_atom_site_fract_y
_atom_site_fract_z
Cr1 Cr 0.0000 0.0000 0.0000
Cr2 Cr 0.0000 0.0000 0.2144
Cr3 Cr 0.0000 0.0000 0.4998
Fe1 Fe 0.0000 0.0000 0.7140
P1 P 0.0009 0.7154 0.6068
P2 P 0.0017 0.2837 0.1075
O1 O 0.0208 0.8303 0.2662
O2 O 0.0295 0.8288 0.5489
O3 O 0.0298 0.1982 0.7697
O4 O 0.0305 0.2002 0.0494
O5 O 0.1605 0.7015 0.3311
O6 O 0.1611 0.4731 0.8321
O7 O 0.1674 0.6925 0.6126
O8 O 0.1697 0.4726 0.1136
```

Most intense lines, 2θ = 10–90°, low angle first:
2θ 14.4, intensity 42, hkl 0 1 2; 2θ 20.1, intensity 56, hkl 1 0 4; 2θ 20.6, intensity 26, hkl 1 1 0; 2θ 24.0, intensity 100, hkl 2 -1 3; 2θ 29.0, intensity 46, hkl 0 2 4; 2θ 32.2, intensity 32, hkl 1 1 6